1.
Li6Ti7Cr5O24: theoretical powder XRD pattern (a wavelength of 1.5418 Å), based on a GGA+U-relaxed structure.
Lines closer than 0.1° are merged.

Atomic structure:
Cell: 5.949 5.977 13.305 Å, 77.18 77.16 89.83°
Space group P-1 (No. 2)
One atom of each set of equivalent atoms:
Li  0.041  0.290  0.418 [2 per cell]
Li  0.292  0.044  0.917 [2 per cell]
Li  0.376  0.624  0.751 [2 per cell]
Ti  0.000  0.500  0.000 [1 per cell]
Ti  0.168  0.167  0.665 [2 per cell]
Ti  0.173  0.667  0.166 [2 per cell]
Ti  0.333  0.834  0.336 [2 per cell]
Cr  0.165  0.167  0.167 [2 per cell]
Cr  0.500  0.000  0.500 [1 per cell]
Cr  0.500  0.500  0.000 [1 per cell]
Cr  0.500  0.500  0.500 [1 per cell]
O  0.056  0.573  0.843 [2 per cell]
O  0.064  0.094  0.823 [2 per cell]
O  0.086  0.058  0.327 [2 per cell]
O  0.088  0.612  0.325 [2 per cell]
O  0.241  0.274  0.008 [2 per cell]
O  0.241  0.723  0.009 [2 per cell]
O  0.266  0.245  0.511 [2 per cell]
O  0.277  0.756  0.489 [2 per cell]
O  0.387  0.907  0.176 [2 per cell]
O  0.392  0.424  0.160 [2 per cell]
O  0.420  0.392  0.660 [2 per cell]
O  0.420  0.946  0.661 [2 per cell]

The 10 most intense peaks (2θ = 10–80°), sorted by position:
h k l  Position (°2θ)  I (rel.)
1 0 -1  18.21  100
1 0 2  18.28  35
1 2 0  35.24  21
-1 2 2  35.32  26
2 -1 2  35.39  15
2 2 2  42.83  27
2 -2 0  42.96  53
-3 2 1  56.82  13
0 4 2  62.13  16
2 2 8  62.39  23



2.
Li4Ti3CrO8: theoretical powder XRD pattern (a wavelength of 1.5418 Å), based on a GGA+U-relaxed structure.
Lines closer than 0.1° are merged.

Atomic structure:
Cell: 5.8679 5.8679 14.8941 Å, 90.00 90.00 120.00°
Space group R-3m (No. 166, hexagonal axes)
One atom of each set of equivalent atoms:
Li  0.0000  0.0000  0.0000 [3 per cell]
Li  0.0000  0.5000  0.0000 [9 per cell]
Ti  0.0000  0.5000  0.5000 [9 per cell]
Cr  0.0000  0.0000  0.5000 [3 per cell]
O  0.0000  0.0000  0.2459 [6 per cell]
O  0.0020  0.5010  0.2446 [18 per cell]

The 10 most intense peaks (2θ = 10–80°), sorted by position:
h k l  Position (°2θ)  I (rel.)
0 0 3  17.87  100
0 2 1  35.85  40
2 0 2  37.40  9
0 2 4  43.10  91
2 0 5  47.00  14
0 2 7  56.40  13
2 0 8  61.77  25
2 2 0  63.41  24
2 2 3  66.46  13
4 0 4  79.76  11



What is the formula in the second record? Li4Ti3CrO8



What is the formula in the second record? Li4Ti3CrO8